For Mn8Ga2C, a structure optimized by DFT (GGA-PBE) gives the calculated X-ray diffraction stick pattern in this record (copper Kα).
Neutral-atom scattering factors, no anomalous dispersion.

Structure:
```
Mn8Ga2C
1.0
3.4207 0.0000 0.0000
0.0000 3.6446 0.0000
0.0000 0.0000 10.1635
Mn Ga C
8 2 1
Direct
0.0000 0.0000 0.0000 Mn
0.0000 0.0000 0.3843 Mn
0.0000 0.0000 0.6157 Mn
0.0000 0.5000 0.1977 Mn
0.0000 0.5000 0.8023 Mn
0.5000 0.5000 0.0000 Mn
0.5000 0.5000 0.3844 Mn
0.5000 0.5000 0.6156 Mn
0.5000 0.0000 0.1875 Ga
0.5000 0.0000 0.8125 Ga
0.5000 0.0000 0.5000 C
```

Largest 12 diffraction maxima, low angle first, 2θ from 5° to 70°:
2θ = 8.70°, I 3; 2θ = 17.45°, I 2; 2θ = 37.11°, I 15; 2θ = 40.28°, I 64; 2θ = 44.58°, I 34; 2θ = 45.14°, I 100; 2θ = 50.05°, I 29; 2θ = 51.33°, I 6; 2θ = 53.58°, I 23; 2θ = 54.14°, I 2; 2θ = 66.75°, I 2; 2θ = 69.24°, I 16